# Sr3TlZn2O6
Simulated PXRD pattern, Cu Kα X-rays. Input: a DFT-relaxed cell (GGA-PBE, Alexandria).
No peak broadening, texture or thermal motion is included.

```
data_Sr3TlZn2O6
_cell_length_a 6.0841
_cell_length_b 6.0841
_cell_length_c 6.5438
_cell_angle_alpha 90.00
_cell_angle_beta 90.00
_cell_angle_gamma 120.00
_space_group_name_H-M_alt 'P 1'
_space_group_IT_number 1
_space_group_name_Hall 'P 1'
loop_
_atom_site_label
_atom_site_type_symbol
_atom_site_fract_x
_atom_site_fract_y
_atom_site_fract_z
_atom_site_occupancy
Sr1 Sr 0.0000 0.0000 0.0000 1
Sr2 Sr 0.3333 0.6667 0.6144 1
Sr3 Sr 0.6667 0.3333 0.3856 1
Tl1 Tl 0.0000 0.0000 0.5000 1
Zn1 Zn 0.3333 0.6667 0.1581 1
Zn2 Zn 0.6667 0.3333 0.8419 1
O1 O 0.1695 0.3390 0.2888 1
O2 O 0.1695 0.8305 0.2888 1
O3 O 0.3390 0.1695 0.7112 1
O4 O 0.6610 0.8305 0.2888 1
O5 O 0.8305 0.1695 0.7112 1
O6 O 0.8305 0.6610 0.7112 1
```

Peak list (10 most intense, 15 to 90 degrees two-theta, in order of rising 2θ)
hkl, d/Å, 2θ/deg, intensity
1 0 0, 5.269, 16.83, 23
1 1 0, 3.042, 29.36, 100
0 1 2, 2.780, 32.20, 71
1 1 2, 2.228, 40.49, 20
2 0 2, 2.052, 44.13, 42
3 0 0, 1.756, 52.07, 20
1 2 2, 1.701, 53.89, 33
1 0 4, 1.562, 59.13, 15
2 2 0, 1.521, 60.91, 18
2 1 4, 1.264, 75.16, 15